Diffraction record for Ba3In4. The XRD peak list is calculated, not measured: it uses a structure optimized by DFT (PBE) and Cu Kα (λ = 1.5418 Å).

Cell and atoms:
Unit cell a=4.629 b=5.133 c=22.815 alpha=90.00 beta=90.00 gamma=90.00
Space group Immm (No. 71)
Symmetry-distinct sites (fractional):
Ba: 0.000 0.000 0.000
Ba: 0.000 0.500 0.188
In: 0.000 0.000 0.435
In: 0.000 0.500 0.363

Main lines, in order of rising 2θ (2θ = 10–90°):
- 27.1 deg, I = 100, (1 1 2)
- 27.4 deg, I = 59, (1 0 5)
- 30.4 deg, I = 33, (1 1 4)
- 32.5 deg, I = 55, (0 1 7)
- 35.0 deg, I = 36, (0 2 0)
- 35.2 deg, I = 22, (1 1 6)
- 38.9 deg, I = 27, (2 0 0)
- 45.0 deg, I = 30, (1 2 5)
- 48.1 deg, I = 17, (1 0 11)
- 51.6 deg, I = 29, (2 1 7)
- 53.3 deg, I = 21, (2 2 0)
- 60.8 deg, I = 17, (1 2 11)